Structure and calculated powder XRD pattern of Np3Ni8Sn (a structure optimized by DFT (GGA-PBE); Cu Kα X-rays).
Kinematic intensities with the Lorentz-polarization factor, no thermal factor.

Atomic structure:
```
data_Np3Ni8Sn
_cell_length_a 4.9868
_cell_length_b 4.9868
_cell_length_c 24.3943
_cell_angle_alpha 90.00
_cell_angle_beta 90.00
_cell_angle_gamma 120.00
_space_group_name_H-M_alt 'R 3 m'
_space_group_IT_number 160
_space_group_name_Hall 'R 3 -2"'
loop_
_atom_site_label
_atom_site_fract_x
_atom_site_fract_y
_atom_site_fract_z
_atom_site_occupancy
Np1 0.0000 0.0000 0.0000 1
Np2 0.0000 0.0000 0.1232 1
Np3 0.0000 0.0000 0.6309 1
Ni1 0.0000 0.0000 0.3140 1
Ni2 0.0000 0.0000 0.8142 1
Ni3 0.0020 0.5010 0.0653 1
Ni4 0.1674 0.3348 0.8966 1
Sn1 0.0000 0.0000 0.5039 1
```

Most intense lines, 10 to 90 degrees two-theta, by angle:
(hkl), 2theta, intensity
0 0 3, 10.88, 5
0 0 6, 21.84, 26
1 1 0, 36.04, 74
1 1 6, 42.54, 100
0 0 12, 44.53, 12
1 2 2, 56.94, 7
3 0 0, 64.79, 27
3 0 6, 69.26, 29
2 2 0, 76.44, 22
3 1 8, 87.53, 13